1.
This entry pairs a crystal structure of K2NaH6Os with its calculated X-ray powder pattern. Radiation: copper Kα. Structure: a crystal structure in Alexandria, relaxed with PBE.

Principal peaks in the range 2θ from 15° to 90°, in order of rising 2θ:
Position (°2θ)	intensity
18.98	70.9
21.95	23.8
31.24	100.0
36.81	39.7
44.76	19.1
49.03	17.7
55.59	37.3
59.29	14.1
68.55	13.8
74.03	15.7

Atomic structure:
```
K2NaH6Os
1.0
0.0000 4.0495 4.0495
4.0495 0.0000 4.0495
4.0495 4.0495 0.0000
K Na H Os
2 1 6 1
direct
0.2500 0.2500 0.2500
0.7500 0.7500 0.7500
0.0000 0.0000 0.0000
0.2855 0.2855 0.7145
0.2855 0.7145 0.2855
0.2855 0.7145 0.7145
0.7145 0.2855 0.2855
0.7145 0.2855 0.7145
0.7145 0.7145 0.2855
0.5000 0.5000 0.5000
```


2.
This entry pairs a crystal structure of K3NaH6Pd2 with its calculated X-ray powder pattern. Radiation: copper Kα. Structure: a crystal structure in Alexandria, relaxed with PBE.

Principal peaks in the range 2θ from 15° to 90°, in order of rising 2θ:
Position (°2θ)	intensity
17.17	20.5
21.76	43.0
29.97	100.0
31.92	79.1
40.57	15.6
44.35	36.4
53.21	18.4
54.45	34.2
58.08	14.9
74.86	15.0

Atomic structure:
```
K3NaH6Pd2
1.0
5.9633 0.0000 0.0000
-2.9816 5.1643 0.0000
0.0000 0.0000 6.6764
K Na H Pd
3 1 6 2
direct
0.0000 0.0000 0.0000
0.3333 0.6667 0.6856
0.6667 0.3333 0.3144
0.0000 0.0000 0.5000
0.1794 0.3587 0.2800
0.1794 0.8206 0.2800
0.3587 0.1794 0.7200
0.6413 0.8206 0.2800
0.8206 0.1794 0.7200
0.8206 0.6413 0.7200
0.3333 0.6667 0.1908
0.6667 0.3333 0.8092
```


3.
This entry pairs a crystal structure of KNaH4Pt with its calculated X-ray powder pattern. Radiation: copper Kα. Structure: a crystal structure in Alexandria, relaxed with PBE.

Principal peaks in the range 2θ from 15° to 90°, in order of rising 2θ:
Position (°2θ)	intensity
24.71	65.6
30.48	100.0
33.82	21.8
34.29	21.0
36.15	18.2
36.60	17.6
39.78	38.4
48.93	15.7
58.45	15.6
59.06	15.1

Atomic structure:
```
KNaH4Pt
1.0
2.6150 -7.1403 0.0000
2.6150 7.1403 0.0000
0.0000 0.0000 5.3003
K Na H Pt
2 2 8 2
direct
0.0997 0.9003 0.7500
0.9003 0.0997 0.2500
0.3586 0.6414 0.7500
0.6414 0.3586 0.2500
0.0000 0.5000 0.0000
0.0000 0.5000 0.5000
0.1292 0.8708 0.2500
0.3661 0.6339 0.2500
0.5000 0.0000 0.0000
0.5000 0.0000 0.5000
0.6339 0.3661 0.7500
0.8708 0.1292 0.7500
0.2486 0.7514 0.2500
0.7514 0.2486 0.7500
```


4.
This entry pairs a crystal structure of K2RbNaH4 with its calculated X-ray powder pattern. Radiation: copper Kα. Structure: a crystal structure in Alexandria, relaxed with PBE.

Principal peaks in the range 2θ from 15° to 90°, in order of rising 2θ:
Position (°2θ)	intensity
23.78	60.8
24.37	21.1
26.29	41.6
26.75	52.9
26.93	100.0
30.97	28.8
33.07	64.4
37.85	27.6
43.03	24.4
53.88	22.2

Atomic structure:
```
K2RbNaH4
1.0
1.9784 -6.6655 0.0000
1.9784 6.6655 0.0000
0.0000 0.0000 13.5622
K Rb Na H
4 2 2 8
direct
0.1315 0.8685 0.5397
0.1315 0.8685 0.9603
0.8685 0.1315 0.0397
0.8685 0.1315 0.4603
0.3843 0.6157 0.7500
0.6157 0.3843 0.2500
0.3477 0.6523 0.2500
0.6523 0.3477 0.7500
0.0655 0.9345 0.7500
0.2404 0.7596 0.1263
0.2404 0.7596 0.3737
0.5000 0.5000 0.0000
0.5000 0.5000 0.5000
0.7596 0.2404 0.6263
0.7596 0.2404 0.8737
0.9345 0.0655 0.2500
```


5.
This entry pairs a crystal structure of K2Rb6NaH with its calculated X-ray powder pattern. Radiation: copper Kα. Structure: a crystal structure in Alexandria, relaxed with PBE.

Principal peaks in the range 2θ from 15° to 90°, in order of rising 2θ:
Position (°2θ)	intensity
21.97	100.0
25.27	20.8
25.41	20.4
25.59	20.0
36.14	14.1
36.27	13.9
36.37	13.7
42.60	13.1
42.78	12.8
44.80	13.1

Atomic structure:
```
K2Rb6NaH
1.0
6.9630 -7.0110 0.0000
6.9630 7.0110 0.0000
-6.9594 0.0000 7.0497
K Rb Na H
2 6 1 1
direct
0.2488 0.7512 0.0000
0.7512 0.2488 0.0000
0.2754 0.2754 0.0499
0.2753 0.7245 0.4996
0.2767 0.2767 0.5007
0.7245 0.2753 0.4996
0.7238 0.7238 0.4988
0.7249 0.7249 0.9496
0.0004 0.0004 0.4997
0.5000 0.5000 0.4998
```


6.
This entry pairs a crystal structure of KNaReH9 with its calculated X-ray powder pattern. Radiation: copper Kα. Structure: a crystal structure in Alexandria, relaxed with PBE.

Principal peaks in the range 2θ from 15° to 90°, in order of rising 2θ:
Position (°2θ)	intensity
18.74	41.8
19.72	39.9
20.36	93.4
21.20	100.0
27.33	81.9
31.65	38.1
33.26	57.7
34.89	33.8
37.56	29.9
39.35	32.6

Atomic structure:
```
KNaReH9
1.0
9.0060 0.0000 0.0000
0.0000 5.3814 0.0000
0.0000 0.0000 9.9682
K Na Re H
4 4 4 36
direct
0.0276 0.2500 0.1755
0.4724 0.7500 0.6755
0.5276 0.2500 0.3245
0.9724 0.7500 0.8245
0.1372 0.2500 0.5770
0.3628 0.7500 0.0770
0.6372 0.2500 0.9230
0.8628 0.7500 0.4230
0.2295 0.7500 0.3842
0.2705 0.2500 0.8842
0.7295 0.7500 0.1158
0.7705 0.2500 0.6158
0.0858 0.2500 0.8615
0.0961 0.5253 0.3978
0.0961 0.9747 0.3978
0.1190 0.7500 0.2488
0.1626 0.7500 0.5427
0.1863 0.0222 0.9765
0.1863 0.4778 0.9765
0.2211 0.0241 0.7729
0.2211 0.4759 0.7729
0.2789 0.5241 0.2729
0.2789 0.9759 0.2729
0.3137 0.5222 0.4765
0.3137 0.9778 0.4765
0.3374 0.2500 0.0427
0.3810 0.2500 0.7488
0.4039 0.0253 0.8978
0.4039 0.4747 0.8978
0.4142 0.7500 0.3615
0.5858 0.2500 0.6385
0.5961 0.5253 0.1022
0.5961 0.9747 0.1022
0.6190 0.7500 0.2512
0.6626 0.7500 0.9573
0.6863 0.0222 0.5235
0.6863 0.4778 0.5235
0.7211 0.0241 0.7271
0.7211 0.4759 0.7271
0.7789 0.5241 0.2271
0.7789 0.9759 0.2271
0.8137 0.5222 0.0235
0.8137 0.9778 0.0235
0.8374 0.2500 0.4573
0.8810 0.2500 0.7512
0.9039 0.0253 0.6022
0.9039 0.4747 0.6022
0.9142 0.7500 0.1385
```